Record 1
Calculated powder diffractogram
Compound: MgHg5
Radiation: λ = 1.5418 Å (Cu Kα)
Structure: a structure optimized by DFT (PBE)
Neutral-atom scattering factors, no anomalous dispersion.

Peak list (8 most intense, 2θ from 15° to 90°, most intense first)
2theta	intensity
34.8	100
29.4	28
65.7	21
52.2	20
37.0	19
65.3	17
64.3	16
25.0	15

abc: 6.0754 6.0754 4.8567
angles: 90.00 90.00 120.00
Element x y z (fractional)
Mg  0.0000  0.0000  0.0000
Hg  0.0000  0.6898  0.5000
Hg  0.3102  0.3102  0.5000
Hg  0.3333  0.6667  0.0000
Hg  0.6667  0.3333  0.0000
Hg  0.6898  0.0000  0.5000

***

Record 2
Calculated powder diffractogram
Compound: Ni3Bi2S2
Radiation: λ = 1.5418 Å (Cu Kα)
Structure: a structure optimized by DFT (PBE)
Neutral-atom scattering factors, no anomalous dispersion.

Peak list (8 most intense, 2θ from 15° to 90°, most intense first)
2theta	intensity
31.5	100
38.8	68
22.1	54
45.1	48
56.1	39
65.7	29
50.8	29
79.0	26

abc: 6.9589 6.9589 6.9589
angles: 109.47 109.47 109.47
Element x y z (fractional)
Ni  0.2323  0.7500  0.9823
Ni  0.2500  0.5177  0.2677
Ni  0.2677  0.2500  0.5177
Ni  0.5177  0.2677  0.2500
Ni  0.7500  0.9823  0.2323
Ni  0.9823  0.2323  0.7500
Bi  0.0000  0.4916  0.5000
Bi  0.0084  0.0084  0.0084
Bi  0.4916  0.5000  0.0000
Bi  0.5000  0.0000  0.4916
S  0.0000  0.9597  0.5000
S  0.5000  0.0000  0.9597
S  0.5403  0.5403  0.5403
S  0.9597  0.5000  0.0000

***

Record 3
Calculated powder diffractogram
Compound: Zr2CoS4
Radiation: λ = 1.5418 Å (Cu Kα)
Structure: a structure optimized by DFT (PBE)
Neutral-atom scattering factors, no anomalous dispersion.

Peak list (8 most intense, 2θ from 15° to 90°, most intense first)
2theta	intensity
32.1	100
15.0	67
41.8	50
32.3	37
50.1	35
41.9	22
15.9	22
28.3	20

abc: 13.3542 3.6518 6.3047
angles: 90.00 117.88 90.00
Element x y z (fractional)
Zr  0.0000  0.0000  0.0000
Zr  0.0024  0.5000  0.4901
Zr  0.5000  0.5000  0.0000
Zr  0.5024  0.0000  0.4901
Co  0.3260  0.0000  0.9859
Co  0.8260  0.5000  0.9859
S  0.1293  0.5000  0.2883
S  0.1301  0.0000  0.7847
S  0.3667  0.5000  0.1956
S  0.3745  0.0000  0.6937
S  0.6293  0.0000  0.2883
S  0.6301  0.5000  0.7847
S  0.8667  0.0000  0.1956
S  0.8745  0.5000  0.6937

***

Record 4
Calculated powder diffractogram
Compound: Mg5Si9
Radiation: λ = 1.5418 Å (Cu Kα)
Structure: a structure optimized by DFT (PBE)
Neutral-atom scattering factors, no anomalous dispersion.

Peak list (8 most intense, 2θ from 15° to 90°, most intense first)
2theta	intensity
30.9	100
37.5	71
43.3	68
31.1	55
36.1	54
30.1	44
35.9	43
37.6	39

abc: 5.7304 6.9185 13.6008
angles: 104.12 92.06 108.05
Element x y z (fractional)
Mg  0.0000  0.0000  0.0000
Mg  0.0162  0.4623  0.9182
Mg  0.0337  0.7009  0.3559
Mg  0.0862  0.2282  0.3858
Mg  0.2385  0.2857  0.7902
Mg  0.3488  0.1457  0.6269
Mg  0.6314  0.7081  0.8633
Mg  0.7548  0.5475  0.6887
Mg  0.7786  0.0883  0.1657
Mg  0.8135  0.0227  0.6513
Si  0.0670  0.4449  0.5739
Si  0.1407  0.8375  0.7914
Si  0.2470  0.3558  0.1061
Si  0.2488  0.8003  0.1745
Si  0.3349  0.7165  0.6768
Si  0.3652  0.1024  0.2650
Si  0.3934  0.9335  0.4888
Si  0.4344  0.9756  0.9342
Si  0.4559  0.5509  0.4937
Si  0.4619  0.5665  0.3047
Si  0.4837  0.3097  0.9859
Si  0.5397  0.7158  0.0834
Si  0.6619  0.8851  0.3653
Si  0.6634  0.3012  0.4677
Si  0.7304  0.1642  0.8126
Si  0.7403  0.4061  0.2538
Si  0.8916  0.5565  0.0823
Si  0.9491  0.8253  0.5208

***

Record 5
Calculated powder diffractogram
Compound: GdSb
Radiation: λ = 1.5418 Å (Cu Kα)
Structure: a structure optimized by DFT (PBE)
Neutral-atom scattering factors, no anomalous dispersion.

Peak list (8 most intense, 2θ from 15° to 90°, most intense first)
2theta	intensity
28.3	100
40.5	76
66.4	35
50.2	27
73.7	26
58.6	13
87.7	9
24.5	3

abc: 6.2977 6.2977 6.2977
angles: 90.00 90.00 90.00
Element x y z (fractional)
Gd  0.0000  0.0000  0.0000
Gd  0.0000  0.5000  0.5000
Gd  0.5000  0.0000  0.5000
Gd  0.5000  0.5000  0.0000
Sb  0.0000  0.0000  0.5000
Sb  0.0000  0.5000  0.0000
Sb  0.5000  0.0000  0.0000
Sb  0.5000  0.5000  0.5000